For PrCd2Au2, a DFT-relaxed cell (PBE, Alexandria) gives the computed powder XRD pattern in this record (Cu Kα, 1.54184 Å).
Kinematic intensities with the Lorentz-polarization factor, no thermal factor.

The 6 most intense peaks (10° ≤ 2θ ≤ 90°), by intensity:
- d 2.731, I = 100, hkl 1 1 2
- d 2.245, I = 43, hkl 1 0 -5
- d 2.329, I = 35, hkl 2 0 0
- d 2.905, I = 33, hkl 0 1 3
- d 2.197, I = 31, hkl 1 1 4
- d 1.982, I = 25, hkl 0 2 0

Atomic structure:
```
PrCd2Au2
1.0
4.658 0.000 0.000
0.000 3.964 0.000
-0.009 0.000 12.811
Pr Cd Au
2 4 4
Direct
0.249 0.250 0.255
0.751 0.750 0.745
0.250 0.750 0.486
0.251 0.250 0.864
0.749 0.750 0.136
0.750 0.250 0.514
0.249 0.750 0.026
0.250 0.250 0.650
0.750 0.750 0.350
0.751 0.250 0.974
```